[1]
Starting from DFT lattice parameters and positions (PBE), the X-ray powder pattern of PuCdHg2 was calculated for Cu Kα.
Intensities are scaled so that the largest is 100.

Most intense lines, 10 to 90 degrees two-theta, in order of rising 2θ:
| 2theta | I/Imax |
| --- | --- |
| 21.03 | 6 |
| 34.68 | 100 |
| 40.91 | 3 |
| 49.85 | 18 |
| 54.68 | 2 |
| 62.15 | 38 |
| 66.39 | 1 |
| 73.17 | 12 |
| 77.12 | 1 |
| 83.58 | 17 |

Structure:
abc: 5.1736 5.1736 5.1736
angles: 60.00 60.00 60.00
Sites, in units of the cell vectors:
1 Pu 0.0000 0.0000 0.0000
2 Cd 0.5000 0.5000 0.5000
3 Hg 0.2500 0.2500 0.2500
4 Hg 0.7500 0.7500 0.7500


[2]
Starting from DFT lattice parameters and positions (PBE), the X-ray powder pattern of ZrNb2ZnO8 was calculated for Cu Kα.
Intensities are scaled so that the largest is 100.

Most intense lines, 10 to 90 degrees two-theta, in order of rising 2θ:
| 2theta | I/Imax |
| --- | --- |
| 23.74 | 49 |
| 29.35 | 100 |
| 29.63 | 97 |
| 30.40 | 20 |
| 34.90 | 26 |
| 35.16 | 27 |
| 50.18 | 26 |
| 51.76 | 20 |
| 52.10 | 38 |
| 62.74 | 28 |

Structure:
abc: 4.8637 5.8808 5.1422
angles: 90.00 90.72 90.00
Sites, in units of the cell vectors:
1 Zr 0.0000 0.0000 0.0000
2 Nb 0.5000 0.1583 0.5000
3 Nb 0.5000 0.5148 0.0000
4 Zn 0.0000 0.6348 0.5000
5 O 0.2337 0.7112 0.8447
6 O 0.2396 0.9547 0.3409
7 O 0.2767 0.2168 0.8223
8 O 0.2872 0.4368 0.3174
9 O 0.7128 0.4368 0.6826
10 O 0.7233 0.2168 0.1777
11 O 0.7604 0.9547 0.6591
12 O 0.7663 0.7112 0.1553